# Rb4Pb
Computed X-ray powder pattern, Cu Kα (weighted mean of Kα1 and Kα2). Input: a crystal structure in Alexandria, relaxed with GGA-PBE.
Peak positions follow from Bragg's law for the DFT cell and can differ from measured ones.

Largest 10 diffraction maxima, in order of rising 2θ, 2θ = 10–80°:
13.60 deg, I 31; 21.59 deg, I 30; 24.05 deg, I 100; 25.13 deg, I 54; 27.41 deg, I 35; 28.68 deg, I 100; 30.31 deg, I 56; 30.72 deg, I 54; 41.85 deg, I 33; 47.09 deg, I 36

Cell and atoms:
abc: 9.205 9.205 8.451
angles: 90.00 90.00 90.00
Element x y z (fractional)
Rb (0.167, 0.306, 0.000)
Rb (0.167, 0.694, 0.500)
Rb (0.306, 0.167, 0.500)
Rb (0.306, 0.833, 0.000)
Rb (0.694, 0.167, 0.000)
Rb (0.694, 0.833, 0.500)
Rb (0.833, 0.306, 0.500)
Rb (0.833, 0.694, 0.000)
Pb (0.000, 0.000, 0.250)
Pb (0.000, 0.000, 0.750)